Record 1
The following is a calculated X-ray powder pattern of Na3TaAlSi2PO12. It was derived from a PBE-relaxed structure, using copper Kα.

Atomic structure:
Cell lengths 8.8706, 8.8706, 9.0126 Å; angles 120.30, 120.30, 60.39 degrees
Positions (direct):
1 Na 0.0586 0.9414 0.5000
2 Na 0.3119 0.8198 0.2387
3 Na 0.5624 0.7107 0.0040
4 Na 0.7107 0.5624 0.5040
5 Na 0.8198 0.3119 0.7387
6 Na 0.9414 0.0586 0.0000
7 Ta 0.4608 0.9690 0.6920
8 Ta 0.9690 0.4608 0.1920
9 Al 0.1604 0.6814 0.8185
10 Al 0.6814 0.1604 0.3185
11 Si 0.0653 0.2880 0.5109
12 Si 0.2880 0.0653 0.0109
13 Si 0.7829 0.8684 0.5131
14 Si 0.8684 0.7829 0.0131
15 P 0.3676 0.5627 0.5204
16 P 0.5627 0.3676 0.0204
17 O 0.0326 0.3059 0.3206
18 O 0.0477 0.7562 0.9871
19 O 0.0930 0.2403 0.0221
20 O 0.0964 0.4727 0.6766
21 O 0.1883 0.5376 0.3499
22 O 0.2403 0.0930 0.5221
23 O 0.2598 0.8859 0.9898
24 O 0.3059 0.0326 0.8206
25 O 0.3394 0.6064 0.6928
26 O 0.3774 0.7365 0.5196
27 O 0.4034 0.5418 0.9931
28 O 0.4727 0.0964 0.1766
29 O 0.5376 0.1883 0.8499
30 O 0.5418 0.4034 0.4931
31 O 0.5958 0.8781 0.5231
32 O 0.6064 0.3394 0.1928
33 O 0.6784 0.8148 0.8315
34 O 0.7365 0.3774 0.0196
35 O 0.7562 0.0477 0.4871
36 O 0.8148 0.6784 0.3315
37 O 0.8373 0.9622 0.1909
38 O 0.8781 0.5958 0.0231
39 O 0.8859 0.2598 0.4898
40 O 0.9622 0.8373 0.6909

Most intense lines, 2θ from 10° to 90°, by angle:
| 2theta | I/Imax |
| --- | --- |
| 14.0 | 100 |
| 14.2 | 36 |
| 19.7 | 45 |
| 19.9 | 85 |
| 20.0 | 61 |
| 28.1 | 32 |
| 31.4 | 36 |
| 31.7 | 61 |
| 32.0 | 48 |
| 34.9 | 50 |

---

Record 2
The following is a calculated X-ray powder pattern of Na3TiAlSiP2O12. It was derived from a PBE-relaxed structure, using copper Kα.

Atomic structure:
Cell lengths 8.7661, 8.7661, 8.7941 Å; angles 119.66, 119.66, 59.96 degrees
Positions (direct):
1 Na 0.0659 0.9341 0.5000
2 Na 0.1972 0.4225 0.9744
3 Na 0.3366 0.7844 0.2162
4 Na 0.4225 0.1972 0.4744
5 Na 0.7844 0.3366 0.7162
6 Na 0.9341 0.0659 0.0000
7 Ti 0.4621 0.9470 0.6580
8 Ti 0.9470 0.4621 0.1580
9 Al 0.1729 0.6556 0.7825
10 Al 0.6556 0.1729 0.2825
11 Si 0.3514 0.5532 0.4673
12 Si 0.5532 0.3514 0.9673
13 P 0.0478 0.2767 0.4770
14 P 0.2767 0.0478 0.9770
15 P 0.7734 0.8497 0.4774
16 P 0.8497 0.7734 0.9774
17 O 0.0165 0.3084 0.3022
18 O 0.0280 0.7513 0.9600
19 O 0.0857 0.4414 0.6528
20 O 0.0915 0.2202 0.9802
21 O 0.1695 0.5155 0.2757
22 O 0.2202 0.0915 0.4802
23 O 0.2369 0.8853 0.9578
24 O 0.2967 0.5909 0.6360
25 O 0.3084 0.0165 0.8022
26 O 0.3680 0.7396 0.4818
27 O 0.3694 0.5362 0.9519
28 O 0.4414 0.0857 0.1528
29 O 0.5155 0.1695 0.7757
30 O 0.5362 0.3694 0.4519
31 O 0.5842 0.8738 0.4746
32 O 0.5909 0.2967 0.1360
33 O 0.6796 0.8112 0.8032
34 O 0.7396 0.3680 0.9818
35 O 0.7513 0.0280 0.4600
36 O 0.8112 0.6796 0.3032
37 O 0.8179 0.9386 0.1532
38 O 0.8738 0.5842 0.9746
39 O 0.8853 0.2369 0.4578
40 O 0.9386 0.8179 0.6532

Most intense lines, 2θ from 10° to 90°, by angle:
| 2theta | I/Imax |
| --- | --- |
| 14.2 | 33 |
| 20.1 | 54 |
| 23.7 | 93 |
| 23.8 | 54 |
| 24.7 | 32 |
| 31.5 | 68 |
| 32.1 | 100 |
| 32.2 | 54 |
| 35.5 | 70 |
| 48.7 | 39 |

---

- What is the formula in the second record?
  Na3TiAlSiP2O12